# 1
Diffraction record for LiLaZn2Au2. The powder X-ray diffraction pattern is calculated, not measured: it uses DFT lattice parameters and positions (PBE) and CuKα.
Intensities are scaled so that the largest is 100.

abc: 4.5519 4.5519 6.7900
angles: 90.00 90.00 120.00
Space group P-3m1 (No. 164)
Asymmetric unit:
Li  0.0000  0.0000  0.0000 x1
La  0.0000  0.0000  0.5000 x1
Zn  0.3333  0.6667  0.8177 x2
Au  0.3333  0.6667  0.2177 x2

Largest 10 diffraction maxima, low angle first, 2θ = 5–70°:
2θ (°)	Rel. int.
26.1	100
26.3	18
34.9	74
39.6	88
46.3	16
48.1	42
53.8	22
57.4	31
64.0	17
68.8	21

# 2
Diffraction record for TaMo7. The powder X-ray diffraction pattern is calculated, not measured: it uses DFT lattice parameters and positions (PBE) and CuKα.
Intensities are scaled so that the largest is 100.

abc: 4.4973 4.4973 12.7329
angles: 90.00 90.00 90.00
Space group I4/mmm (No. 139)
Asymmetric unit:
Ta  0.0000  0.0000  0.0000 x2
Mo  0.0000  0.0000  0.2491 x4
Mo  0.0000  0.0000  0.5000 x2
Mo  0.0000  0.5000  0.1264 x8

Largest 10 diffraction maxima, low angle first, 2θ = 5–70°:
2θ (°)	Rel. int.
13.9	1
20.9	3
28.0	1
28.9	1
31.4	1
40.1	100
40.7	1
42.6	1
45.7	1
58.0	16

# 3
Diffraction record for LaEr3Tm8. The powder X-ray diffraction pattern is calculated, not measured: it uses DFT lattice parameters and positions (PBE) and CuKα.
Intensities are scaled so that the largest is 100.

abc: 10.7723 11.1566 6.2133
angles: 90.00 90.00 90.00
Space group Imm2 (No. 44)
Asymmetric unit:
La  0.0000  0.0000  0.0000 x2
Er  0.0000  0.2517  0.3359 x4
Er  0.0000  0.5000  0.0020 x2
Tm  0.1647  0.5000  0.5018 x4
Tm  0.1671  0.2531  0.8346 x8
Tm  0.1690  0.0000  0.5029 x4

Largest 10 diffraction maxima, low angle first, 2θ = 5–70°:
2θ (°)	Rel. int.
28.7	24
32.1	24
33.0	100
43.6	15
50.9	20
57.8	20
59.5	3
61.4	23
62.0	16
69.2	4

What did the third record say?
Diffraction record for LaEr3Tm8. The powder X-ray diffraction pattern is calculated, not measured: it uses DFT lattice parameters and positions (PBE) and CuKα.
Intensities are scaled so that the largest is 100.

abc: 10.7723 11.1566 6.2133
angles: 90.00 90.00 90.00
Space group Imm2 (No. 44)
Asymmetric unit:
La  0.0000  0.0000  0.0000 x2
Er  0.0000  0.2517  0.3359 x4
Er  0.0000  0.5000  0.0020 x2
Tm  0.1647  0.5000  0.5018 x4
Tm  0.1671  0.2531  0.8346 x8
Tm  0.1690  0.0000  0.5029 x4

Largest 10 diffraction maxima, low angle first, 2θ = 5–70°:
2θ (°)	Rel. int.
28.7	24
32.1	24
33.0	100
43.6	15
50.9	20
57.8	20
59.5	3
61.4	23
62.0	16
69.2	4